Structure and computed powder X-ray diffraction pattern of DyEr2Ni2 (a structure optimized by DFT (PBE); Cu Ka).
Peak positions follow from Bragg's law for the DFT cell and can differ from measured ones.

Principal peaks in the range 2θ = 5–70°, most intense first:
d_spacing	I/Imax
2.622	100
3.063	64
2.653	51
2.731	42
2.046	30
3.418	26
2.846	25
1.875	23
2.227	18
1.487	18

Cell and atoms:
Lattice parameters (Å, degrees): 11.351 3.749 5.465 90.00 104.24 90.00
Space group C2/m (No. 12)
Unique sites:
Dy: 0.000 0.000 0.000 [2 per cell]
Er: 0.148 0.500 0.589 [4 per cell]
Ni: 0.213 0.500 0.114 [4 per cell]

Structure and computed powder X-ray diffraction pattern of Ba4Ce2BiO12 (a structure optimized by DFT (PBE); Cu Ka).
Peak positions follow from Bragg's law for the DFT cell and can differ from measured ones.

Principal peaks in the range 2θ = 5–70°, most intense first:
d_spacing	I/Imax
3.123	100
3.202	57
2.217	51
3.149	47
3.135	46
3.057	40
1.833	36
6.259	27
2.207	25
1.774	18

Cell and atoms:
Lattice parameters (Å, degrees): 6.253 6.272 8.871 91.52 92.23 90.24
Space group P-1 (No. 2)
Unique sites:
Ba: 0.008 0.450 0.224 [2 per cell]
Ba: 0.473 0.969 0.231 [2 per cell]
Ce: 0.000 0.000 0.500 [1 per cell]
Ce: 0.500 0.500 0.500 [1 per cell]
Bi: 0.500 0.500 0.000 [1 per cell]
O: 0.090 0.985 0.720 [2 per cell]
O: 0.232 0.723 0.446 [2 per cell]
O: 0.233 0.693 0.033 [2 per cell]
O: 0.275 0.232 0.446 [2 per cell]
O: 0.303 0.232 0.026 [2 per cell]
O: 0.428 0.490 0.753 [2 per cell]

Structure and computed powder X-ray diffraction pattern of Sm2Zn3 (a structure optimized by DFT (PBE); Cu Ka).
Peak positions follow from Bragg's law for the DFT cell and can differ from measured ones.

Principal peaks in the range 2θ = 5–70°, most intense first:
d_spacing	I/Imax
2.701	100
2.657	62
2.353	52
2.275	34
1.728	34
3.794	25
1.432	21
1.804	19
2.514	15
1.413	15

Cell and atoms:
Lattice parameters (Å, degrees): 3.608 27.492 4.550 90.00 90.00 90.00
Space group Cmcm (No. 63)
Unique sites:
Sm: 0.000 0.072 0.250 [4 per cell]
Sm: 0.000 0.209 0.750 [4 per cell]
Zn: 0.000 0.331 0.750 [4 per cell]
Zn: 0.000 0.383 0.250 [4 per cell]
Zn: 0.000 0.477 0.250 [4 per cell]

Structure and computed powder X-ray diffraction pattern of Ca3Zn3Rh (a structure optimized by DFT (PBE); Cu Ka).
Peak positions follow from Bragg's law for the DFT cell and can differ from measured ones.

Principal peaks in the range 2θ = 5–70°, most intense first:
d_spacing	I/Imax
14.638	100
5.450	80
2.351	66
2.815	42
2.086	42
2.742	42
2.309	41
2.888	36
3.875	25
1.548	22

Cell and atoms:
Lattice parameters (Å, degrees): 10.928 4.171 15.286 90.00 106.74 90.00
Space group C2/m (No. 12)
Unique sites:
Ca: 0.023 0.000 0.388 [4 per cell]
Ca: 0.112 0.000 0.922 [4 per cell]
Ca: 0.250 0.000 0.243 [4 per cell]
Zn: 0.040 0.500 0.232 [4 per cell]
Zn: 0.099 0.500 0.077 [4 per cell]
Zn: 0.172 0.500 0.536 [4 per cell]
Rh: 0.223 0.500 0.378 [4 per cell]

Structure and computed powder X-ray diffraction pattern of ZnCo3 (a structure optimized by DFT (PBE); Cu Ka).
Peak positions follow from Bragg's law for the DFT cell and can differ from measured ones.

Principal peaks in the range 2θ = 5–70°, most intense first:
d_spacing	I/Imax
1.935	100
1.945	56
2.070	43
2.189	28
1.504	16
2.203	11
1.509	6
2.589	1

Cell and atoms:
Lattice parameters (Å, degrees): 4.140 5.044 4.406 90.00 90.00 90.00
Space group Pmmn (No. 59, origin choice 2)
Unique sites:
Zn: 0.250 0.250 0.160 [2 per cell]
Co: 0.250 0.504 0.660 [4 per cell]
Co: 0.250 0.750 0.170 [2 per cell]

Structure and computed powder X-ray diffraction pattern of CuAg2Te3 (a structure optimized by DFT (PBE); Cu Ka).
Peak positions follow from Bragg's law for the DFT cell and can differ from measured ones.

Principal peaks in the range 2θ = 5–70°, most intense first:
d_spacing	I/Imax
2.873	100
2.031	48
1.642	12
2.001	12
1.676	12
2.063	11
1.435	7
1.438	3
2.901	3
2.274	3

Cell and atoms:
Lattice parameters (Å, degrees): 13.000 5.745 8.004 90.00 107.77 90.00
Space group C2/c (No. 15)
Unique sites:
Cu: 0.000 0.001 0.250 [4 per cell]
Ag: 0.171 0.498 0.085 [8 per cell]
Te: 0.000 0.499 0.750 [4 per cell]
Te: 0.151 0.002 0.576 [8 per cell]

Structure and computed powder X-ray diffraction pattern of CaTl2Br3F (a structure optimized by DFT (PBE); Cu Ka).
Peak positions follow from Bragg's law for the DFT cell and can differ from measured ones.

Principal peaks in the range 2θ = 5–70°, most intense first:
d_spacing	I/Imax
3.470	100
2.748	90
2.856	60
3.001	57
3.238	49
2.270	49
3.532	42
2.069	39
1.598	33
1.502	32

Cell and atoms:
Lattice parameters (Å, degrees): 4.368 5.712 18.006 90.00 90.00 90.00
Space group Immm (No. 71)
Unique sites:
Ca: 0.000 0.000 0.000 [2 per cell]
Tl: 0.000 0.000 0.348 [4 per cell]
Br: 0.000 0.000 0.166 [4 per cell]
Br: 0.000 0.500 0.000 [2 per cell]
F: 0.000 0.500 0.500 [2 per cell]

Structure and computed powder X-ray diffraction pattern of RbTlF5 (a structure optimized by DFT (PBE); Cu Ka).
Peak positions follow from Bragg's law for the DFT cell and can differ from measured ones.

Principal peaks in the range 2θ = 5–70°, most intense first:
d_spacing	I/Imax
3.477	100
4.448	58
8.366	52
3.722	39
3.128	34
3.535	33
3.150	31
5.010	30
1.951	27
1.866	26

Cell and atoms:
Lattice parameters (Å, degrees): 4.621 16.732 6.265 90.00 93.25 90.00
Space group C2/c (No. 15)
Unique sites:
Rb: 0.000 0.177 0.250 [4 per cell]
Tl: 0.000 0.433 0.250 [4 per cell]
F: 0.000 0.105 0.750 [4 per cell]
F: 0.021 0.332 0.025 [8 per cell]
F: 0.230 0.468 0.597 [8 per cell]

Structure and computed powder X-ray diffraction pattern of BaMg9Al3 (a structure optimized by DFT (PBE); Cu Ka).
Peak positions follow from Bragg's law for the DFT cell and can differ from measured ones.

Principal peaks in the range 2θ = 5–70°, most intense first:
d_spacing	I/Imax
2.558	100
2.533	46
3.607	33
7.241	31
2.514	26
2.952	23
3.239	23
2.932	21
5.027	17
5.062	14

Cell and atoms:
Lattice parameters (Å, degrees): 5.797 14.526 7.753 90.00 111.30 90.00
Space group C2/m (No. 12)
Unique sites:
Ba: 0.000 0.000 0.000 [2 per cell]
Mg: 0.000 0.000 0.500 [2 per cell]
Mg: 0.104 0.388 0.219 [8 per cell]
Mg: 0.174 0.179 0.351 [8 per cell]
Al: 0.000 0.500 0.500 [2 per cell]
Al: 0.250 0.250 0.000 [4 per cell]

Q: Which formula does entry 8 have?
A: RbTlF5